Starting from a crystal structure in Alexandria, relaxed with PBE, the powder XRD pattern of Na8PbSe6 was computed for Cu Kα.
No peak broadening, texture or thermal motion is included.

Cell and atoms:
```
data_Na8PbSe6
_chemical_formula_sum 'Na16 Pb2 Se12'
_space_group_name_H-M_alt 'P m n 21'
_space_group_IT_number 31
_cell_length_a 8.2770
_cell_length_b 8.7193
_cell_length_c 12.2517
_cell_angle_alpha 90.00
_cell_angle_beta 90.00
_cell_angle_gamma 90.00
loop_
_space_group_symop_operation_xyz
'x,y,z'
'-x+1/2,-y,z+1/2'
'-x,y,z'
'x+1/2,-y,z+1/2'
loop_
_atom_site_label
_atom_site_type_symbol
_atom_site_fract_x
_atom_site_fract_y
_atom_site_fract_z
Na1 Na 0.0000 0.1276 0.0000
Na2 Na 0.0000 0.2383 0.4390
Na3 Na 0.2043 0.5776 0.7906
Na4 Na 0.2043 0.7019 0.1063
Na5 Na 0.2240 0.9411 0.7680
Pb1 Pb 0.0000 0.7451 0.4623
Se1 Se 0.0000 0.2601 0.2175
Se2 Se 0.0000 0.4940 0.5925
Se3 Se 0.0000 0.7844 0.9278
Se4 Se 0.0000 0.9961 0.5884
Se5 Se 0.2364 0.2567 0.8398
```

Most intense lines, 2θ from 10° to 90°, sorted by position:
- hkl 0 1 1, 12.46 deg, I 55
- hkl 1 0 1, 12.91 deg, I 74
- hkl 0 2 0, 20.37 deg, I 36
- hkl 1 1 2, 20.72 deg, I 100
- hkl 0 2 2, 25.07 deg, I 49
- hkl 2 0 2, 25.98 deg, I 58
- hkl 3 0 1, 33.26 deg, I 33
- hkl 0 2 4, 35.86 deg, I 48
- hkl 2 2 4, 42.15 deg, I 83
- hkl 4 0 0, 43.76 deg, I 42

---

Starting from a crystal structure in Alexandria, relaxed with PBE, the powder XRD pattern of CaCu2 was computed for Cu Kα.
No peak broadening, texture or thermal motion is included.

Cell and atoms:
```
data_CaCu2
_chemical_formula_sum 'Ca3 Cu6'
_space_group_name_H-M_alt 'R 3 m'
_space_group_IT_number 160
_space_group_name_Hall 'R 3 -2"'
_cell_length_a 4.1399
_cell_length_b 4.1399
_cell_length_c 13.2449
_cell_angle_alpha 90.00
_cell_angle_beta 90.00
_cell_angle_gamma 120.00
loop_
_atom_site_label
_atom_site_type_symbol
_atom_site_fract_x
_atom_site_fract_y
_atom_site_fract_z
Ca1 Ca 0.0000 0.0000 0.0000
Cu1 Cu 0.0000 0.0000 0.2099
Cu2 Cu 0.0000 0.0000 0.5079
```

Most intense lines, 2θ from 10° to 90°, sorted by position:
- hkl 0 0 3, 20.11 deg, I 60
- hkl 1 0 1, 25.74 deg, I 46
- hkl 0 1 2, 28.31 deg, I 37
- hkl 1 0 4, 36.95 deg, I 100
- hkl 0 0 6, 40.88 deg, I 20
- hkl 1 1 0, 43.73 deg, I 84
- hkl 1 1 3, 48.58 deg, I 35
- hkl 0 2 4, 58.55 deg, I 24
- hkl 1 1 6, 61.40 deg, I 32
- hkl 2 1 4, 75.86 deg, I 21

---

Starting from a crystal structure in Alexandria, relaxed with PBE, the powder XRD pattern of YAg2Te3 was computed for Cu Kα.
No peak broadening, texture or thermal motion is included.

Cell and atoms:
```
data_YAg2Te3
_chemical_formula_sum 'Y2 Ag4 Te6'
_space_group_name_H-M_alt 'P 1 21/m 1'
_space_group_IT_number 11
_cell_length_a 7.1474
_cell_length_b 4.2644
_cell_length_c 12.7665
_cell_angle_alpha 90.00
_cell_angle_beta 101.58
_cell_angle_gamma 90.00
loop_
_space_group_symop_operation_xyz
'x,y,z'
'-x,-y,-z'
'-x,y+1/2,-z'
'x,-y+1/2,z'
loop_
_atom_site_label
_atom_site_type_symbol
_atom_site_fract_x
_atom_site_fract_y
_atom_site_fract_z
Y1 Y 0.0175 0.2500 0.2924
Ag1 Ag 0.0096 0.2500 0.9162
Ag2 Ag 0.1472 0.2500 0.5555
Te1 Te 0.2561 0.2500 0.1227
Te2 Te 0.2689 0.7500 0.4374
Te3 Te 0.2865 0.2500 0.7796
```

Most intense lines, 2θ from 10° to 90°, sorted by position:
- hkl 1 0 0, 12.64 deg, I 100
- hkl 1 0 -3, 22.53 deg, I 39
- hkl 1 1 0, 24.44 deg, I 45
- hkl 1 1 2, 29.65 deg, I 30
- hkl 2 1 -2, 34.00 deg, I 83
- hkl 1 1 3, 34.35 deg, I 56
- hkl 1 0 -5, 35.61 deg, I 48
- hkl 2 0 3, 36.68 deg, I 45
- hkl 0 1 5, 41.87 deg, I 35
- hkl 0 2 0, 42.39 deg, I 47

---

Starting from a crystal structure in Alexandria, relaxed with PBE, the powder XRD pattern of Sr5Ta3 was computed for Cu Kα.
No peak broadening, texture or thermal motion is included.

Cell and atoms:
```
data_Sr5Ta3
_chemical_formula_sum 'Sr10 Ta6'
_space_group_name_H-M_alt 'P 1'
_space_group_IT_number 1
_cell_length_a 6.4279
_cell_length_b 9.9226
_cell_length_c 9.9241
_cell_angle_alpha 84.00
_cell_angle_beta 71.11
_cell_angle_gamma 71.13
loop_
_space_group_symop_operation_xyz
'x,y,z'
loop_
_atom_site_label
_atom_site_type_symbol
_atom_site_fract_x
_atom_site_fract_y
_atom_site_fract_z
Sr1 Sr 0.0000 0.0000 0.0000
Sr2 Sr 0.0219 0.6461 0.8104
Sr3 Sr 0.0588 0.4364 0.4466
Sr4 Sr 0.1946 0.0097 0.6009
Sr5 Sr 0.3494 0.2820 0.0199
Sr6 Sr 0.4852 0.8554 0.1743
Sr7 Sr 0.5222 0.6456 0.8104
Sr8 Sr 0.5440 0.2917 0.6210
Sr9 Sr 0.6900 0.4564 0.1646
Sr10 Sr 0.8540 0.8354 0.4561
Ta1 Ta 0.1041 0.6464 0.1459
Ta2 Ta 0.4398 0.6452 0.4749
Ta3 Ta 0.5883 0.1461 0.3104
Ta4 Ta 0.6040 0.9815 0.8097
Ta5 Ta 0.9398 0.3102 0.8112
Ta6 Ta 0.9564 0.1459 0.3105
```

Most intense lines, 2θ from 10° to 90°, sorted by position:
- hkl 1 1 -1, 20.36 deg, I 30
- hkl 0 1 2, 21.16 deg, I 18
- hkl 2 1 1, 27.76 deg, I 17
- hkl 1 3 0, 27.92 deg, I 23
- hkl 0 3 1, 30.10 deg, I 54
- hkl 2 0 2, 30.91 deg, I 44
- hkl 1 -2 2, 31.06 deg, I 100
- hkl 1 2 -3, 39.13 deg, I 22
- hkl 3 0 4, 51.21 deg, I 26
- hkl 2 0 6, 57.72 deg, I 22

---

Starting from a crystal structure in Alexandria, relaxed with PBE, the powder XRD pattern of Nd5ErSe6 was computed for Cu Kα.
No peak broadening, texture or thermal motion is included.

Cell and atoms:
```
data_Nd5ErSe6
_chemical_formula_sum 'Nd10 Er2 Se12'
_space_group_name_H-M_alt 'C 1 2/m 1'
_space_group_IT_number 12
_cell_length_a 7.2767
_cell_length_b 12.6173
_cell_length_c 7.2614
_cell_angle_alpha 90.00
_cell_angle_beta 109.55
_cell_angle_gamma 90.00
loop_
_space_group_symop_operation_xyz
'x,y,z'
'-x,-y,-z'
'-x,y,-z'
'x,-y,z'
'x+1/2,y+1/2,z'
'-x+1/2,-y+1/2,-z'
'-x+1/2,y+1/2,-z'
'x+1/2,-y+1/2,z'
loop_
_atom_site_label
_atom_site_type_symbol
_atom_site_fract_x
_atom_site_fract_y
_atom_site_fract_z
Nd1 Nd 0.0000 0.0000 0.0000
Nd2 Nd 0.0000 0.1678 0.5000
Nd3 Nd 0.0000 0.3263 0.0000
Er1 Er 0.0000 0.5000 0.5000
Se1 Se 0.2394 0.5000 0.2525
Se2 Se 0.2416 0.3393 0.7421
```

Most intense lines, 2θ from 10° to 90°, sorted by position:
- hkl 2 0 0, 25.99 deg, I 17
- hkl 2 0 -2, 30.10 deg, I 100
- hkl 3 3 -1, 43.04 deg, I 37
- hkl 2 0 2, 43.13 deg, I 37
- hkl 3 3 1, 50.98 deg, I 7
- hkl 4 0 0, 53.41 deg, I 19
- hkl 4 0 -4, 62.57 deg, I 12
- hkl 5 3 -3, 70.93 deg, I 11
- hkl 3 3 -5, 71.05 deg, I 16
- hkl 6 0 -2, 78.91 deg, I 14

---

Starting from a crystal structure in Alexandria, relaxed with PBE, the powder XRD pattern of CrH2Cl5 was computed for Cu Kα.
No peak broadening, texture or thermal motion is included.

Cell and atoms:
```
data_CrH2Cl5
_chemical_formula_sum 'Cr2 H4 Cl10'
_space_group_name_H-M_alt 'I 4'
_space_group_IT_number 79
_cell_length_a 6.5002
_cell_length_b 6.5002
_cell_length_c 11.1975
_cell_angle_alpha 90.00
_cell_angle_beta 90.00
_cell_angle_gamma 90.00
loop_
_space_group_symop_operation_xyz
'x,y,z'
'-y,x,z'
'-x,-y,z'
'y,-x,z'
'x+1/2,y+1/2,z+1/2'
'-y+1/2,x+1/2,z+1/2'
'-x+1/2,-y+1/2,z+1/2'
'y+1/2,-x+1/2,z+1/2'
loop_
_atom_site_label
_atom_site_type_symbol
_atom_site_fract_x
_atom_site_fract_y
_atom_site_fract_z
Cr1 Cr 0.0000 0.0000 0.0000
H1 H 0.0000 0.5000 0.0311
Cl1 Cl 0.0000 0.0000 0.8059
Cl2 Cl 0.1576 0.6815 0.0350
```

Most intense lines, 2θ from 10° to 90°, sorted by position:
- hkl 0 0 2, 15.80 deg, I 100
- hkl 1 1 0, 19.31 deg, I 6
- hkl 2 1 1, 31.81 deg, I 42
- hkl 0 0 4, 31.97 deg, I 13
- hkl 2 2 0, 39.26 deg, I 19
- hkl 3 1 0, 44.05 deg, I 11
- hkl 3 1 2, 47.10 deg, I 6
- hkl 2 1 5, 51.50 deg, I 12
- hkl 3 1 4, 55.46 deg, I 7
- hkl 1 4 1, 59.19 deg, I 6